This entry pairs a crystal structure of Ca3Sn4 with its theoretical powder X-ray diffraction pattern. Radiation: Cu Kα (weighted mean of Kα1 and Kα2). Structure: a structure optimized by DFT (PBE).
Lines closer than 0.1° are merged.

Main lines, most intense first (10 to 90 degrees two-theta):
- 30.86 deg, I = 100
- 34.72 deg, I = 79
- 19.09 deg, I = 44
- 21.27 deg, I = 42
- 38.73 deg, I = 38
- 38.51 deg, I = 37
- 30.00 deg, I = 32
- 55.76 deg, I = 27
- 43.57 deg, I = 22
- 16.32 deg, I = 20

Atomic structure:
```
Ca3Sn4
1.0
2.338 -5.797 0.000
2.338 5.797 0.000
0.000 0.000 15.577
Ca Sn
6 8
direct
0.035 0.965 0.750
0.311 0.689 0.597
0.311 0.689 0.903
0.689 0.311 0.097
0.689 0.311 0.403
0.965 0.035 0.250
0.000 0.000 0.000
0.000 0.000 0.500
0.240 0.760 0.250
0.400 0.600 0.107
0.400 0.600 0.393
0.600 0.400 0.607
0.600 0.400 0.893
0.760 0.240 0.750
```